For NiPtRhW, a crystal structure in Alexandria, relaxed with GGA-PBE gives the simulated PXRD pattern in this record (copper Kα).
Intensities are scaled so that the largest is 100.

Lattice parameters (Å, degrees): 3.8463 3.8463 7.6268 90.00 90.00 90.00
Fractional coordinates of all 8 atoms:
Ni1 0.0000 0.0000 0.0000
Ni2 0.5000 0.5000 0.5000
Pt1 0.0000 0.5000 0.7500
Pt2 0.5000 0.0000 0.2500
Rh1 0.0000 0.5000 0.2500
Rh2 0.5000 0.0000 0.7500
W1 0.0000 0.0000 0.5000
W2 0.5000 0.5000 0.0000

Main lines, in order of rising 2θ (10° ≤ 2θ ≤ 80°):
25.94°, I 22, hkl 1 0 1; 40.75°, I 100, hkl 1 1 2; 47.26°, I 33, hkl 2 0 0; 47.70°, I 16, hkl 0 0 4; 69.07°, I 10, hkl 2 2 0; 69.41°, I 21, hkl 2 0 4